(1)
# PIrAu
Simulated X-ray diffraction stick pattern, CuKα. Input: a GGA-PBE-relaxed structure.

Largest 11 diffraction maxima, by angle, 2θ = 5–70°:
15.22 deg, intensity 22, (0 0 1); 30.72 deg, intensity 22, (0 0 2); 34.37 deg, intensity 100, (1 0 1); 43.90 deg, intensity 79, (1 1 0); 46.69 deg, intensity 6, (1 1 1); 46.83 deg, intensity 11, (0 0 3); 54.50 deg, intensity 17, (1 1 2); 57.00 deg, intensity 6, (1 0 3); 63.76 deg, intensity 13, (2 0 0); 65.99 deg, intensity 2, (2 0 1); 66.10 deg, intensity 16, (1 1 3)

a = 2.9192 Å, b = 2.9192 Å, c = 5.8200 Å
α = 90.00°, β = 90.00°, γ = 90.00°
Space group P4mm (No. 99)
Inequivalent atoms, fractional coordinates:
P  0.0000  0.0000  0.0000 [1 per cell]
Ir  0.5000  0.5000  0.7905 [1 per cell]
Au  0.0000  0.0000  0.4150 [1 per cell]

***

(2)
# Tl3Se
Simulated X-ray diffraction stick pattern, CuKα. Input: a GGA-PBE-relaxed structure.

Largest 12 diffraction maxima, by angle, 2θ = 5–70°:
17.15 deg, intensity 3, (0 0 2); 20.43 deg, intensity 9, (1 0 1); 31.58 deg, intensity 100, (1 1 2); 31.99 deg, intensity 3, (1 0 3); 34.70 deg, intensity 20, (0 0 4); 37.55 deg, intensity 32, (2 0 0); 43.13 deg, intensity 3, (2 1 1); 52.05 deg, intensity 25, (2 0 4); 54.16 deg, intensity 11, (2 2 0); 60.24 deg, intensity 16, (1 1 6); 64.06 deg, intensity 27, (3 1 2); 65.94 deg, intensity 12, (2 2 4)

a = 4.7900 Å, b = 4.7900 Å, c = 10.3418 Å
α = 90.00°, β = 90.00°, γ = 90.00°
Space group I4/mmm (No. 139)
Inequivalent atoms, fractional coordinates:
Tl  0.0000  0.0000  0.0000 [2 per cell]
Tl  0.0000  0.5000  0.2500 [4 per cell]
Se  0.0000  0.0000  0.5000 [2 per cell]

***

(3)
# Mg2B2O5
Simulated X-ray diffraction stick pattern, CuKα. Input: a GGA-PBE-relaxed structure.

Largest 12 diffraction maxima, by angle, 2θ = 5–70°:
19.71 deg, intensity 23, (1 0 2); 29.69 deg, intensity 15, (0 0 4); 31.35 deg, intensity 29, (2 0 -4); 34.69 deg, intensity 100, (2 1 0); 41.49 deg, intensity 14, (3 1 0); 44.61 deg, intensity 32, (2 0 -6); 46.91 deg, intensity 34, (3 1 2); 48.91 deg, intensity 10, (4 1 -2); 57.45 deg, intensity 10, (1 1 6); 58.40 deg, intensity 13, (0 2 0); 60.49 deg, intensity 15, (5 1 -4); 61.14 deg, intensity 15, (4 1 -6)

a = 9.2942 Å, b = 3.1606 Å, c = 12.4334 Å
α = 90.00°, β = 104.49°, γ = 90.00°
Space group P2_1/c (No. 14)
Inequivalent atoms, fractional coordinates:
Mg  0.1023  0.2141  0.1858 [4 per cell]
Mg  0.3563  0.7094  0.1051 [4 per cell]
B  0.1693  0.1503  0.4396 [4 per cell]
B  0.3560  0.7244  0.8405 [4 per cell]
O  0.0538  0.2122  0.3480 [4 per cell]
O  0.1810  0.2278  0.0465 [4 per cell]
O  0.2585  0.7281  0.2379 [4 per cell]
O  0.2995  0.5777  0.9304 [4 per cell]
O  0.4964  0.2006  0.1372 [4 per cell]

***

(4)
# ZnMo2I
Simulated X-ray diffraction stick pattern, CuKα. Input: a GGA-PBE-relaxed structure.

Largest 5 diffraction maxima, by angle, 2θ = 5–70°:
23.87 deg, intensity 5, (1 1 1); 39.48 deg, intensity 100, (2 2 0); 46.66 deg, intensity 2, (3 1 1); 57.06 deg, intensity 16, (4 0 0); 62.73 deg, intensity 1, (3 3 1)

a = 6.4564 Å, b = 6.4564 Å, c = 6.4564 Å
α = 90.00°, β = 90.00°, γ = 90.00°
Space group Fm-3m (No. 225)
Inequivalent atoms, fractional coordinates:
Zn  0.0000  0.0000  0.0000 [4 per cell]
Mo  0.2500  0.2500  0.2500 [8 per cell]
I  0.0000  0.0000  0.5000 [4 per cell]

***

What did the first record say?
# PIrAu
Simulated X-ray diffraction stick pattern, CuKα. Input: a GGA-PBE-relaxed structure.

Largest 11 diffraction maxima, by angle, 2θ = 5–70°:
15.22 deg, intensity 22, (0 0 1); 30.72 deg, intensity 22, (0 0 2); 34.37 deg, intensity 100, (1 0 1); 43.90 deg, intensity 79, (1 1 0); 46.69 deg, intensity 6, (1 1 1); 46.83 deg, intensity 11, (0 0 3); 54.50 deg, intensity 17, (1 1 2); 57.00 deg, intensity 6, (1 0 3); 63.76 deg, intensity 13, (2 0 0); 65.99 deg, intensity 2, (2 0 1); 66.10 deg, intensity 16, (1 1 3)

a = 2.9192 Å, b = 2.9192 Å, c = 5.8200 Å
α = 90.00°, β = 90.00°, γ = 90.00°
Space group P4mm (No. 99)
Inequivalent atoms, fractional coordinates:
P  0.0000  0.0000  0.0000 [1 per cell]
Ir  0.5000  0.5000  0.7905 [1 per cell]
Au  0.0000  0.0000  0.4150 [1 per cell]